Be17NbNi: calculated powder XRD pattern (Cu Kα (λ = 1.5418 Å)), based on a DFT-relaxed cell (PBE, Alexandria).
Kinematic intensities with the Lorentz-polarization factor, no thermal factor.

Crystal structure
Cell lengths 7.2885, 7.2885, 10.6780 Å; angles 90.00, 90.00, 120.00 degrees
Space group R3m (No. 160, hexagonal axes)
Symmetry-distinct sites (fractional):
Be  0.0000  0.0000  0.0506 [3 per cell]
Be  0.0000  0.0000  0.2532 [3 per cell]
Be  0.0356  0.3618  0.8226 [18 per cell]
Be  0.1677  0.3355  0.6413 [9 per cell]
Be  0.1722  0.3445  0.3333 [9 per cell]
Be  0.1732  0.3463  0.9948 [9 per cell]
Nb  0.0000  0.0000  0.4953 [3 per cell]
Ni  0.0000  0.0000  0.8091 [3 per cell]

Peak list (6 most intense, 5 to 70 degrees two-theta, low angle first)
h k l  d [Å]  intensity
1 0 1  5.434  85
1 1 0  3.644  100
1 1 3  2.546  100
3 0 0  2.104  41
0 3 3  1.811  60
0 0 6  1.779  33


Be9Nb2Pt: calculated powder XRD pattern (Cu Kα (λ = 1.5418 Å)), based on a DFT-relaxed cell (PBE, Alexandria).
Kinematic intensities with the Lorentz-polarization factor, no thermal factor.

Crystal structure
Cell lengths 4.5240, 4.5240, 14.0996 Å; angles 90.00, 90.00, 120.00 degrees
Space group P6_3/mmc (No. 194)
Symmetry-distinct sites (fractional):
Be  0.0000  0.0000  0.0000 [2 per cell]
Be  0.0000  0.0000  0.2500 [2 per cell]
Be  0.1665  0.3330  0.1261 [12 per cell]
Be  0.3333  0.6667  0.2500 [2 per cell]
Nb  0.3333  0.6667  0.5316 [4 per cell]
Pt  0.3333  0.6667  0.7500 [2 per cell]

Peak list (6 most intense, 5 to 70 degrees two-theta, low angle first)
h k l  d [Å]  intensity
1 0 0  3.918  50
1 0 1  3.775  100
0 0 4  3.525  39
1 0 5  2.289  74
1 1 0  2.262  57
1 1 4  1.904  56


Be5NbPt: calculated powder XRD pattern (Cu Kα (λ = 1.5418 Å)), based on a DFT-relaxed cell (PBE, Alexandria).
Kinematic intensities with the Lorentz-polarization factor, no thermal factor.

Crystal structure
Cell lengths 7.3852, 4.2704, 9.1506 Å; angles 90.00, 90.00, 90.00 degrees
Space group Pnma (No. 62)
Symmetry-distinct sites (fractional):
Be  0.0358  0.2500  0.1045 [4 per cell]
Be  0.0588  0.5051  0.3132 [8 per cell]
Be  0.0760  0.7500  0.5167 [4 per cell]
Be  0.2003  0.7500  0.7451 [4 per cell]
Nb  0.2422  0.7500  0.0657 [4 per cell]
Pt  0.1473  0.2500  0.8643 [4 per cell]

Peak list (6 most intense, 5 to 70 degrees two-theta, low angle first)
h k l  d [Å]  intensity
1 0 1  5.747  46
0 1 1  3.870  100
2 0 1  3.424  43
1 1 2  2.875  45
2 1 0  2.793  42
1 1 3  2.353  53


Be8Nb3Re: calculated powder XRD pattern (Cu Kα (λ = 1.5418 Å)), based on a DFT-relaxed cell (PBE, Alexandria).
Kinematic intensities with the Lorentz-polarization factor, no thermal factor.

Crystal structure
Cell lengths 4.5509, 4.5509, 7.4678 Å; angles 90.00, 90.00, 120.00 degrees
Space group P3m1 (No. 156)
Symmetry-distinct sites (fractional):
Be  0.0000  0.0000  0.0000 [1 per cell]
Be  0.0000  0.0000  0.4997 [1 per cell]
Be  0.1696  0.3393  0.2432 [3 per cell]
Be  0.3424  0.1712  0.7528 [3 per cell]
Nb  0.3333  0.6667  0.5650 [1 per cell]
Nb  0.3333  0.6667  0.9384 [1 per cell]
Nb  0.6667  0.3333  0.4282 [1 per cell]
Re  0.6667  0.3333  0.0617 [1 per cell]

Peak list (6 most intense, 5 to 70 degrees two-theta, low angle first)
h k l  d [Å]  intensity
1 0 0  3.941  91
0 0 2  3.734  46
0 1 1  3.486  74
1 1 0  2.275  89
0 1 3  2.105  100
1 1 2  1.943  61


Be9Nb2Rh: calculated powder XRD pattern (Cu Kα (λ = 1.5418 Å)), based on a DFT-relaxed cell (PBE, Alexandria).
Kinematic intensities with the Lorentz-polarization factor, no thermal factor.

Crystal structure
Cell lengths 4.5001, 4.5001, 14.0307 Å; angles 90.00, 90.00, 120.00 degrees
Space group P6_3/mmc (No. 194)
Symmetry-distinct sites (fractional):
Be  0.0000  0.0000  0.0000 [2 per cell]
Be  0.0000  0.0000  0.2500 [2 per cell]
Be  0.1658  0.3316  0.1274 [12 per cell]
Be  0.3333  0.6667  0.2500 [2 per cell]
Nb  0.3333  0.6667  0.5334 [4 per cell]
Rh  0.3333  0.6667  0.7500 [2 per cell]

Peak list (6 most intense, 5 to 70 degrees two-theta, low angle first)
h k l  d [Å]  intensity
1 0 0  3.897  65
1 0 1  3.755  87
0 0 4  3.508  44
1 0 5  2.277  100
1 1 0  2.250  78
1 1 4  1.894  69


BeNbSi2Rh: calculated powder XRD pattern (Cu Kα (λ = 1.5418 Å)), based on a DFT-relaxed cell (PBE, Alexandria).
Kinematic intensities with the Lorentz-polarization factor, no thermal factor.

Crystal structure
Cell lengths 4.5476, 4.5476, 4.0121 Å; angles 90.00, 90.00, 90.00 degrees
Space group P4/mmm (No. 123)
Symmetry-distinct sites (fractional):
Be  0.0000  0.0000  0.0000 [1 per cell]
Nb  0.5000  0.5000  0.0000 [1 per cell]
Si  0.0000  0.5000  0.5000 [2 per cell]
Rh  0.0000  0.0000  0.5000 [1 per cell]

Peak list (6 most intense, 5 to 70 degrees two-theta, low angle first)
h k l  d [Å]  intensity
1 1 0  3.216  35
1 0 1  3.009  100
2 0 0  2.274  41
0 0 2  2.006  14
2 1 1  1.814  45
2 0 2  1.504  22


Ti2Be2NbRh5: calculated powder XRD pattern (Cu Kα (λ = 1.5418 Å)), based on a DFT-relaxed cell (PBE, Alexandria).
Kinematic intensities with the Lorentz-polarization factor, no thermal factor.

Crystal structure
Cell lengths 9.1286, 9.1286, 3.3287 Å; angles 90.00, 90.00, 90.00 degrees
Space group P4/mbm (No. 127)
Symmetry-distinct sites (fractional):
Ti  0.1729  0.3271  0.0000 [4 per cell]
Be  0.1210  0.6210  0.0000 [4 per cell]
Nb  0.0000  0.0000  0.0000 [2 per cell]
Rh  0.0000  0.5000  0.5000 [2 per cell]
Rh  0.0745  0.7892  0.5000 [8 per cell]

Peak list (6 most intense, 5 to 70 degrees two-theta, low angle first)
h k l  d [Å]  intensity
0 0 1  3.329  32
2 1 1  2.580  39
4 1 0  2.214  48
3 1 1  2.181  100
4 2 0  2.041  36
3 2 1  2.015  34


Be16Nb2Ru: calculated powder XRD pattern (Cu Kα (λ = 1.5418 Å)), based on a DFT-relaxed cell (PBE, Alexandria).
Kinematic intensities with the Lorentz-polarization factor, no thermal factor.

Crystal structure
Cell lengths 7.5352, 7.5352, 10.8248 Å; angles 90.00, 90.00, 120.00 degrees
Space group R3m (No. 160, hexagonal axes)
Symmetry-distinct sites (fractional):
Be  0.0000  0.0000  0.1127 [3 per cell]
Be  0.9998  0.2915  0.0000 [18 per cell]
Be  0.0070  0.5035  0.1564 [9 per cell]
Be  0.1683  0.3367  0.8363 [9 per cell]
Be  0.1699  0.3397  0.1808 [9 per cell]
Nb  0.0000  0.0000  0.3462 [3 per cell]
Nb  0.0000  0.0000  0.6610 [3 per cell]
Ru  0.0000  0.0000  0.9058 [3 per cell]

Peak list (6 most intense, 5 to 70 degrees two-theta, low angle first)
h k l  d [Å]  intensity
1 1 0  3.768  100
1 1 3  2.606  37
1 0 4  2.500  23
3 0 0  2.175  31
2 2 0  1.884  23
0 3 3  1.863  20